No. 1
RbCaCo2F8: calculated X-ray diffraction stick pattern (λ = 1.5418 Å (Cu Kα)), based on the PBE+U geometry in Alexandria.

Cell and atoms:
```
data_RbCaCo2F8
_space_group_name_H-M_alt 'P -3'
_space_group_IT_number 147
_space_group_name_Hall '-P 3'
_cell_length_a 5.8516
_cell_length_b 5.8516
_cell_length_c 8.0002
_cell_angle_alpha 90.00
_cell_angle_beta 90.00
_cell_angle_gamma 120.00
loop_
_atom_site_label
_atom_site_fract_x
_atom_site_fract_y
_atom_site_fract_z
Rb1 0.0000 0.0000 0.0000
Ca1 0.0000 0.0000 0.5000
Co1 0.3333 0.6667 0.7658
F1 0.0975 0.3291 0.6838
F2 0.3333 0.6667 0.9946
```

Largest 12 diffraction maxima, most intense first, 10 to 80 degrees two-theta:
| h k l | 2theta | d/Å | Rel. int. |
| --- | --- | --- | --- |
| 1 0 1 | 20.75 | 4.281 | 100 |
| 1 1 0 | 30.55 | 2.926 | 62 |
| 1 0 2 | 28.43 | 3.140 | 61 |
| 0 2 2 | 42.22 | 2.141 | 38 |
| 1 1 4 | 55.66 | 1.651 | 31 |
| 1 1 1 | 32.59 | 2.748 | 28 |
| 0 1 3 | 38.12 | 2.360 | 26 |
| 3 -2 2 | 53.01 | 1.728 | 23 |
| 2 1 1 | 48.90 | 1.863 | 19 |
| 1 0 0 | 17.50 | 5.068 | 17 |
| 3 0 0 | 54.31 | 1.689 | 17 |
| 3 0 4 | 73.39 | 1.290 | 16 |


No. 2
Sr3Ca5FeCo7O24: calculated X-ray diffraction stick pattern (λ = 1.5418 Å (Cu Kα)), based on the PBE+U geometry in Alexandria.

Cell and atoms:
```
data_Sr3Ca5FeCo7O24
_space_group_name_H-M_alt 'P 1'
_space_group_IT_number 1
_space_group_name_Hall 'P 1'
_cell_length_a 7.656
_cell_length_b 7.673
_cell_length_c 7.690
_cell_angle_alpha 90.16
_cell_angle_beta 90.33
_cell_angle_gamma 90.14
loop_
_atom_site_label
_atom_site_fract_x
_atom_site_fract_y
_atom_site_fract_z
Sr1 0.000 0.000 0.000
Sr2 0.003 0.504 0.997
Sr3 0.499 0.982 0.025
Ca1 0.000 0.005 0.504
Ca2 0.501 0.477 0.532
Ca3 0.503 0.959 0.526
Ca4 0.504 0.485 0.019
Ca5 0.999 0.507 0.486
Fe1 0.752 0.737 0.758
Co1 0.252 0.243 0.758
Co2 0.252 0.244 0.266
Co3 0.252 0.739 0.756
Co4 0.252 0.741 0.265
Co5 0.749 0.239 0.754
Co6 0.749 0.245 0.263
Co7 0.749 0.740 0.263
O1 0.001 0.770 0.311
O2 0.007 0.699 0.724
O3 0.017 0.217 0.255
O4 0.218 0.767 0.010
O5 0.219 0.979 0.725
O6 0.220 0.508 0.244
O7 0.232 0.274 0.527
O8 0.265 0.226 0.993
O9 0.282 0.977 0.294
O10 0.293 0.501 0.789
O11 0.301 0.708 0.512
O12 0.485 0.276 0.275
O13 0.497 0.775 0.782
O14 0.501 0.711 0.216
O15 0.517 0.204 0.732
O16 0.709 0.486 0.790
O17 0.712 0.702 0.506
O18 0.720 0.978 0.296
O19 0.734 0.223 0.032
O20 0.768 0.274 0.491
O21 0.778 0.767 0.013
O22 0.782 0.506 0.235
O23 0.783 0.988 0.721
O24 0.981 0.266 0.769
```

Largest 12 diffraction maxima, most intense first, 10 to 80 degrees two-theta:
| h k l | 2theta | d/Å | Rel. int. |
| --- | --- | --- | --- |
| 2 -2 0 | 32.96 | 2.718 | 100 |
| 2 2 0 | 33.08 | 2.708 | 97 |
| -2 4 2 | 58.92 | 1.568 | 37 |
| 4 0 0 | 47.50 | 1.914 | 26 |
| 0 4 0 | 47.39 | 1.918 | 25 |
| 0 0 4 | 47.28 | 1.922 | 25 |
| 2 2 4 | 59.11 | 1.563 | 20 |
| -2 2 4 | 58.78 | 1.571 | 13 |
| 4 0 4 | 69.48 | 1.353 | 13 |
| 0 4 4 | 69.28 | 1.356 | 12 |
| 4 0 -4 | 69.06 | 1.360 | 12 |
| 6 0 -2 | 78.94 | 1.213 | 9 |


No. 3
Sr6Ca2Fe3Co5O24: calculated X-ray diffraction stick pattern (λ = 1.5418 Å (Cu Kα)), based on the PBE+U geometry in Alexandria.

Cell and atoms:
```
data_Sr6Ca2Fe3Co5O24
_space_group_name_H-M_alt 'P 1 2 1'
_space_group_IT_number 3
_space_group_name_Hall 'P 2y'
_cell_length_a 7.739
_cell_length_b 7.764
_cell_length_c 7.763
_cell_angle_alpha 90.00
_cell_angle_beta 90.21
_cell_angle_gamma 90.00
loop_
_atom_site_label
_atom_site_fract_x
_atom_site_fract_y
_atom_site_fract_z
Sr1 0.248 0.000 0.249
Sr2 0.248 0.000 0.751
Sr3 0.248 0.500 0.249
Ca1 0.241 0.505 0.750
Fe1 0.000 0.252 0.500
Fe2 0.000 0.749 0.500
Fe3 0.500 0.748 0.500
Co1 0.000 0.255 0.000
Co2 0.000 0.749 0.000
Co3 0.500 0.251 0.500
Co4 0.500 0.253 0.000
Co5 0.500 0.748 0.000
O1 0.000 0.501 0.500
O2 0.000 0.516 0.000
O3 0.000 0.981 0.000
O4 0.000 0.999 0.500
O5 0.031 0.749 0.250
O6 0.032 0.260 0.753
O7 0.235 0.248 0.026
O8 0.250 0.740 0.954
O9 0.252 0.249 0.473
O10 0.253 0.742 0.533
O11 0.466 0.751 0.254
O12 0.474 0.256 0.772
O13 0.500 0.017 0.500
O14 0.500 0.482 0.500
O15 0.500 0.515 0.000
O16 0.500 0.984 0.000
```

Largest 12 diffraction maxima, most intense first, 10 to 80 degrees two-theta:
| h k l | 2theta | d/Å | Rel. int. |
| --- | --- | --- | --- |
| 2 0 -2 | 32.64 | 2.743 | 100 |
| 0 4 0 | 46.81 | 1.941 | 31 |
| 2 2 4 | 58.30 | 1.583 | 23 |
| 2 0 2 | 32.74 | 2.735 | 21 |
| 2 2 -4 | 58.19 | 1.585 | 16 |
| 4 0 0 | 46.97 | 1.935 | 15 |
| 0 4 4 | 68.35 | 1.372 | 13 |
| 2 0 -6 | 77.81 | 1.228 | 11 |
| 4 4 0 | 68.47 | 1.370 | 9 |
| 4 2 2 | 58.43 | 1.579 | 8 |
| 2 2 2 | 40.34 | 2.236 | 6 |
| 2 2 -2 | 40.23 | 2.241 | 6 |


No. 4
SrCa7FeCo7O24: calculated X-ray diffraction stick pattern (λ = 1.5418 Å (Cu Kα)), based on the PBE+U geometry in Alexandria.

Cell and atoms:
```
data_SrCa7FeCo7O24
_space_group_name_H-M_alt 'R 3 m'
_space_group_IT_number 160
_space_group_name_Hall 'R 3 -2"'
_cell_length_a 10.7563
_cell_length_b 10.7563
_cell_length_c 13.1769
_cell_angle_alpha 90.00
_cell_angle_beta 90.00
_cell_angle_gamma 120.00
loop_
_atom_site_label
_atom_site_fract_x
_atom_site_fract_y
_atom_site_fract_z
Sr1 0.0000 0.0000 0.0000
Ca1 0.0000 0.0000 0.5068
Ca2 0.0027 0.5013 0.5007
Ca3 0.1677 0.3354 0.3365
Fe1 0.0000 0.0000 0.2529
Co1 0.0000 0.0000 0.7510
Co2 0.0005 0.5002 0.2519
Co3 0.1673 0.3345 0.0859
O1 0.0015 0.2538 0.0021
O2 0.0820 0.1641 0.6678
O3 0.0844 0.4164 0.1685
O4 0.0855 0.1710 0.1685
O5 0.1678 0.0839 0.8311
O6 0.1687 0.0844 0.3380
```

Largest 12 diffraction maxima, most intense first, 10 to 80 degrees two-theta:
| h k l | 2theta | d/Å | Rel. int. |
| --- | --- | --- | --- |
| 2 2 0 | 33.32 | 2.689 | 100 |
| 4 0 4 | 47.83 | 1.902 | 47 |
| 6 0 0 | 59.54 | 1.553 | 35 |
| 4 4 0 | 69.96 | 1.345 | 25 |
| 6 2 4 | 79.73 | 1.203 | 15 |
| 2 0 2 | 23.39 | 3.803 | 14 |
| 0 4 2 | 41.11 | 2.196 | 5 |
| 2 2 6 | 53.91 | 1.701 | 5 |
| 0 1 2 | 16.48 | 5.379 | 2 |
| 0 2 10 | 74.90 | 1.268 | 2 |
| 1 0 1 | 11.63 | 7.606 | 2 |
| 1 1 3 | 26.20 | 3.402 | 2 |


No. 5
Sr7CaFe4Co4O24: calculated X-ray diffraction stick pattern (λ = 1.5418 Å (Cu Kα)), based on the PBE+U geometry in Alexandria.

Cell and atoms:
```
data_Sr7CaFe4Co4O24
_space_group_name_H-M_alt 'R 3 m'
_space_group_IT_number 160
_space_group_name_Hall 'R 3 -2"'
_cell_length_a 11.0062
_cell_length_b 11.0062
_cell_length_c 13.4587
_cell_angle_alpha 90.00
_cell_angle_beta 90.00
_cell_angle_gamma 120.00
loop_
_atom_site_label
_atom_site_fract_x
_atom_site_fract_y
_atom_site_fract_z
Sr1 0.0000 0.0000 0.0000
Sr2 0.0033 0.5017 0.9957
Sr3 0.1689 0.3378 0.8311
Ca1 0.0000 0.0000 0.4861
Fe1 0.0000 0.0000 0.7458
Fe2 0.0011 0.5006 0.2464
Co1 0.0000 0.0000 0.2465
Co2 0.1672 0.3344 0.0801
O1 0.0062 0.2545 0.0000
O2 0.0828 0.1655 0.1648
O3 0.0847 0.1694 0.6610
O4 0.0877 0.4154 0.1604
O5 0.1610 0.0805 0.3343
O6 0.1703 0.0851 0.8320
```

Largest 11 diffraction maxima, most intense first, 10 to 80 degrees two-theta:
| h k l | 2theta | d/Å | Rel. int. |
| --- | --- | --- | --- |
| 2 2 0 | 32.56 | 2.750 | 100 |
| 4 0 4 | 46.71 | 1.945 | 39 |
| 6 0 0 | 58.09 | 1.588 | 37 |
| 4 4 0 | 68.20 | 1.375 | 22 |
| 6 2 4 | 77.63 | 1.230 | 16 |
| 0 4 2 | 40.16 | 2.245 | 11 |
| 1 0 1 | 11.38 | 7.778 | 1 |
| 1 1 0 | 16.11 | 5.500 | 1 |
| 1 1 3 | 25.61 | 3.479 | 1 |
| 3 0 3 | 34.60 | 2.593 | 1 |
| 1 0 4 | 28.10 | 3.175 | 1 |


No. 6
Sr2Ca6Fe3Co5O24: calculated X-ray diffraction stick pattern (λ = 1.5418 Å (Cu Kα)), based on the PBE+U geometry in Alexandria.

Cell and atoms:
```
data_Sr2Ca6Fe3Co5O24
_space_group_name_H-M_alt 'A m m 2'
_space_group_IT_number 38
_space_group_name_Hall 'A 2 -2'
_cell_length_a 7.653
_cell_length_b 10.865
_cell_length_c 10.837
_cell_angle_alpha 90.00
_cell_angle_beta 90.00
_cell_angle_gamma 90.00
loop_
_atom_site_label
_atom_site_fract_x
_atom_site_fract_y
_atom_site_fract_z
Sr1 0.247 0.000 0.000
Ca1 0.241 0.000 0.495
Ca2 0.243 0.246 0.250
Fe1 0.500 0.000 0.250
Fe2 0.500 0.248 0.500
Co1 0.000 0.000 0.250
Co2 0.000 0.000 0.748
Co3 0.000 0.248 0.499
Co4 0.500 0.000 0.748
O1 0.000 0.122 0.376
O2 0.000 0.128 0.618
O3 0.000 0.130 0.130
O4 0.000 0.134 0.877
O5 0.233 0.000 0.747
O6 0.240 0.000 0.252
O7 0.249 0.246 0.499
O8 0.500 0.121 0.629
O9 0.500 0.123 0.374
O10 0.500 0.123 0.868
O11 0.500 0.126 0.128
```

Largest 12 diffraction maxima, most intense first, 10 to 80 degrees two-theta:
| h k l | 2theta | d/Å | Rel. int. |
| --- | --- | --- | --- |
| 0 4 0 | 33.05 | 2.710 | 100 |
| 0 4 4 | 47.39 | 1.918 | 31 |
| 2 2 6 | 59.07 | 1.564 | 24 |
| 0 0 8 | 69.38 | 1.355 | 20 |
| 4 0 0 | 47.53 | 1.913 | 15 |
| 2 6 2 | 58.95 | 1.567 | 12 |
| 2 0 0 | 23.21 | 3.833 | 8 |
| 0 8 4 | 78.90 | 1.213 | 7 |
| 2 0 4 | 40.77 | 2.213 | 6 |
| 6 2 2 | 79.13 | 1.210 | 5 |
| 0 8 0 | 69.17 | 1.358 | 4 |
| 0 1 1 | 11.54 | 7.671 | 4 |